# 1
K3RbAs: calculated X-ray powder pattern (Cu Kα), based on a crystal structure in Alexandria, relaxed with PBE.

Cell and atoms:
a b c (Å): 6.0855 10.4260 8.5114
angles (deg): 90.00 90.00 90.00
Space group Amm2 (No. 38)
One atom of each set of equivalent atoms:
K: 0.0000 0.0000 0.0000 (multiplicity 2)
K: 0.5000 0.2184 0.1608 (multiplicity 4)
Rb: 0.0000 0.0000 0.5767 (multiplicity 2)
As: 0.5000 0.0000 0.8437 (multiplicity 2)

Peak list (8 most intense, 2θ from 5° to 70°, low angle first)
13.4 deg, d = 6.593 Å, I 60.0, (0 1 1)
17.0 deg, d = 5.213 Å, I 34.0, (0 2 0)
19.9 deg, d = 4.472 Å, I 43.6, (1 1 1)
22.5 deg, d = 3.959 Å, I 35.9, (1 2 0)
25.5 deg, d = 3.488 Å, I 45.8, (1 0 2)
27.7 deg, d = 3.217 Å, I 26.7, (0 3 1)
29.4 deg, d = 3.043 Å, I 45.4, (2 0 0)
30.8 deg, d = 2.899 Å, I 100.0, (1 2 2)

# 2
TbSm2Dy5Mg: calculated X-ray powder pattern (Cu Kα), based on a crystal structure in Alexandria, relaxed with PBE.

Cell and atoms:
a b c (Å): 5.4316 20.1069 10.5025
angles (deg): 90.00 90.00 90.00
Space group Cmc2_1 (No. 36)
One atom of each set of equivalent atoms:
Tb: 0.0000 0.2057 0.0000 (multiplicity 4)
Sm: 0.0000 0.1151 0.2891 (multiplicity 4)
Sm: 0.0000 0.1151 0.7112 (multiplicity 4)
Dy: 0.0000 0.0138 0.0001 (multiplicity 4)
Dy: 0.0000 0.2891 0.3007 (multiplicity 4)
Dy: 0.0000 0.2896 0.6991 (multiplicity 4)
Dy: 0.0000 0.3831 0.0001 (multiplicity 4)
Dy: 0.0000 0.5003 0.2496 (multiplicity 4)
Mg: 0.0000 0.4049 0.4988 (multiplicity 4)

Peak list (8 most intense, 2θ from 5° to 70°, low angle first)
27.9 deg, d = 3.193 Å, I 18.1, (0 6 1)
30.7 deg, d = 2.912 Å, I 39.8, (1 1 3)
32.5 deg, d = 2.752 Å, I 100.0, (1 5 2)
33.0 deg, d = 2.716 Å, I 32.7, (2 0 0)
34.1 deg, d = 2.626 Å, I 15.5, (0 0 4)
48.2 deg, d = 1.888 Å, I 11.7, (2 0 4)
58.6 deg, d = 1.575 Å, I 18.7, (3 5 2)
62.4 deg, d = 1.489 Å, I 12.2, (2 6 5)

# 3
Li4Pm3Au4: calculated X-ray powder pattern (Cu Kα), based on a crystal structure in Alexandria, relaxed with PBE.

Cell and atoms:
a b c (Å): 3.8242 4.3206 14.6668
angles (deg): 81.71 82.54 89.97
Space group P-1 (No. 2)
One atom of each set of equivalent atoms:
Li: 0.0943 0.0943 0.3106 (multiplicity 2)
Li: 0.2483 0.7474 0.0036 (multiplicity 2)
Pm: 0.3563 0.3568 0.7880 (multiplicity 2)
Pm: 0.5000 0.0000 0.5000 (multiplicity 1)
Au: 0.0508 0.5509 0.3984 (multiplicity 2)
Au: 0.1853 0.1841 0.1293 (multiplicity 2)

Peak list (8 most intense, 2θ from 5° to 70°, low angle first)
18.5 deg, d = 4.796 Å, I 35.6, (0 0 3)
25.8 deg, d = 3.455 Å, I 41.9, (0 1 3)
31.9 deg, d = 2.809 Å, I 100.0, (1 1 2)
32.0 deg, d = 2.800 Å, I 51.4, (1 0 4)
33.7 deg, d = 2.661 Å, I 43.4, (1 1 -1)
40.2 deg, d = 2.241 Å, I 29.1, (0 1 -5)
40.4 deg, d = 2.235 Å, I 28.7, (0 1 6)
41.8 deg, d = 2.160 Å, I 30.6, (0 2 1)

# 4
UP2Os: calculated X-ray powder pattern (Cu Kα), based on a crystal structure in Alexandria, relaxed with PBE.

Cell and atoms:
a b c (Å): 3.9849 3.9849 17.1486
angles (deg): 90.00 90.00 90.00
Space group I4/mmm (No. 139)
One atom of each set of equivalent atoms:
U: 0.0000 0.0000 0.1095 (multiplicity 4)
P: 0.0000 0.0000 0.3273 (multiplicity 4)
P: 0.0000 0.5000 0.0000 (multiplicity 4)
Os: 0.0000 0.5000 0.2500 (multiplicity 4)

Peak list (8 most intense, 2θ from 5° to 70°, low angle first)
10.3 deg, d = 8.574 Å, I 46.2, (0 0 2)
22.9 deg, d = 3.881 Å, I 48.5, (1 0 1)
33.5 deg, d = 2.677 Å, I 24.6, (1 1 2)
34.5 deg, d = 2.599 Å, I 38.7, (1 0 5)
38.2 deg, d = 2.355 Å, I 100.0, (1 1 4)
45.5 deg, d = 1.992 Å, I 35.8, (2 0 0)
58.4 deg, d = 1.581 Å, I 17.6, (2 1 5)
63.8 deg, d = 1.459 Å, I 15.2, (2 0 8)

# 5
Li5SnP4O14: calculated X-ray powder pattern (Cu Kα), based on a crystal structure in Alexandria, relaxed with PBE.

Cell and atoms:
a b c (Å): 6.9624 8.8742 9.6920
angles (deg): 79.58 77.68 71.88
Space group P-1 (No. 2)
One atom of each set of equivalent atoms:
Li: 0.0505 0.0289 0.1296 (multiplicity 2)
Li: 0.1662 0.2909 0.2612 (multiplicity 2)
Li: 0.2302 0.2427 0.9307 (multiplicity 2)
Li: 0.2604 0.7650 0.5842 (multiplicity 2)
Li: 0.4482 0.9788 0.3764 (multiplicity 2)
Sn: 0.3705 0.6412 0.2438 (multiplicity 2)
P: 0.0864 0.1449 0.5769 (multiplicity 2)
P: 0.1981 0.6187 0.9416 (multiplicity 2)
P: 0.3132 0.3840 0.5365 (multiplicity 2)
P: 0.4050 0.8720 0.9172 (multiplicity 2)
O: 0.0083 0.2798 0.1007 (multiplicity 2)
O: 0.0325 0.1736 0.4290 (multiplicity 2)
O: 0.0955 0.8657 0.3002 (multiplicity 2)
O: 0.1263 0.3080 0.6077 (multiplicity 2)
O: 0.1876 0.5931 0.1051 (multiplicity 2)
O: 0.2061 0.0098 0.9230 (multiplicity 2)
O: 0.2664 0.5426 0.5871 (multiplicity 2)
O: 0.2822 0.0058 0.5883 (multiplicity 2)
O: 0.2917 0.4615 0.8769 (multiplicity 2)
O: 0.3389 0.3894 0.3725 (multiplicity 2)
O: 0.3592 0.7198 0.8714 (multiplicity 2)
O: 0.4126 0.1073 0.1936 (multiplicity 2)
O: 0.4615 0.8199 0.0686 (multiplicity 2)
O: 0.4957 0.7415 0.4062 (multiplicity 2)

Peak list (8 most intense, 2θ from 5° to 70°, low angle first)
10.6 deg, d = 8.370 Å, I 39.4, (0 1 0)
13.3 deg, d = 6.672 Å, I 35.4, (0 1 1)
13.6 deg, d = 6.523 Å, I 36.4, (1 0 0)
14.7 deg, d = 6.042 Å, I 57.5, (1 1 0)
22.1 deg, d = 4.020 Å, I 100.0, (-1 1 1)
29.5 deg, d = 3.029 Å, I 57.5, (1 0 3)
31.0 deg, d = 2.882 Å, I 40.0, (2 2 2)
32.1 deg, d = 2.785 Å, I 38.6, (2 -1 0)

# 6
In2GaS4: calculated X-ray powder pattern (Cu Kα), based on a crystal structure in Alexandria, relaxed with PBE.

Cell and atoms:
a b c (Å): 3.9785 3.9785 13.1511
angles (deg): 90.00 90.00 120.00
Space group P3m1 (No. 156)
One atom of each set of equivalent atoms:
In: 0.0000 0.0000 0.0000 (multiplicity 1)
In: 0.3333 0.6667 0.6973 (multiplicity 1)
Ga: 0.6667 0.3333 0.2879 (multiplicity 1)
S: 0.3333 0.6667 0.3469 (multiplicity 1)
S: 0.3333 0.6667 0.8872 (multiplicity 1)
S: 0.6667 0.3333 0.1106 (multiplicity 1)
S: 0.6667 0.3333 0.6159 (multiplicity 1)

Peak list (8 most intense, 2θ from 5° to 70°, low angle first)
6.7 deg, d = 13.151 Å, I 49.3, (0 0 1)
20.3 deg, d = 4.384 Å, I 60.2, (0 0 3)
26.7 deg, d = 3.333 Å, I 100.0, (1 0 1)
29.3 deg, d = 3.052 Å, I 73.3, (1 0 2)
37.8 deg, d = 2.379 Å, I 40.7, (1 0 4)
43.3 deg, d = 2.091 Å, I 35.6, (1 0 5)
45.6 deg, d = 1.989 Å, I 50.0, (1 1 0)
49.3 deg, d = 1.849 Å, I 32.4, (0 1 6)

# 7
Tb5CeGa4: calculated X-ray powder pattern (Cu Kα), based on a crystal structure in Alexandria, relaxed with PBE.

Cell and atoms:
a b c (Å): 17.4160 3.6556 8.8897
angles (deg): 90.00 96.80 90.00
Space group C2/m (No. 12)
One atom of each set of equivalent atoms:
Tb: 0.0000 0.0000 0.0000 (multiplicity 2)
Tb: 0.1501 0.5000 0.2771 (multiplicity 4)
Tb: 0.1875 0.5000 0.8423 (multiplicity 4)
Ce: 0.0000 0.0000 0.5000 (multiplicity 2)
Ga: 0.0234 0.5000 0.7601 (multiplicity 4)
Ga: 0.1865 0.0000 0.5557 (multiplicity 4)

Peak list (8 most intense, 2θ from 5° to 70°, low angle first)
23.7 deg, d = 3.755 Å, I 19.9, (2 0 2)
27.1 deg, d = 3.289 Å, I 24.9, (4 0 -2)
28.9 deg, d = 3.087 Å, I 36.8, (3 1 0)
31.0 deg, d = 2.882 Å, I 38.5, (6 0 0)
31.8 deg, d = 2.813 Å, I 100.0, (1 1 -2)
41.0 deg, d = 2.202 Å, I 17.4, (2 0 -4)
42.9 deg, d = 2.107 Å, I 25.0, (5 1 2)
47.1 deg, d = 1.931 Å, I 24.1, (7 1 -2)

# 8
Ba2TlHg4: calculated X-ray powder pattern (Cu Kα), based on a crystal structure in Alexandria, relaxed with PBE.

Cell and atoms:
a b c (Å): 5.5733 5.5733 18.1973
angles (deg): 90.00 90.00 90.00
Space group I4/mmm (No. 139)
One atom of each set of equivalent atoms:
Ba: 0.0000 0.0000 0.1373 (multiplicity 4)
Tl: 0.0000 0.0000 0.5000 (multiplicity 2)
Hg: 0.0000 0.0000 0.3241 (multiplicity 4)
Hg: 0.0000 0.5000 0.0000 (multiplicity 4)

Peak list (8 most intense, 2θ from 5° to 70°, low angle first)
9.7 deg, d = 9.099 Å, I 48.5, (0 0 2)
24.6 deg, d = 3.616 Å, I 56.0, (1 1 2)
29.3 deg, d = 3.047 Å, I 55.6, (1 0 5)
29.5 deg, d = 3.033 Å, I 46.8, (0 0 6)
30.0 deg, d = 2.979 Å, I 48.2, (1 1 4)
32.1 deg, d = 2.787 Å, I 100.0, (2 0 0)
44.1 deg, d = 2.052 Å, I 63.4, (2 0 6)
55.6 deg, d = 1.653 Å, I 45.3, (2 2 6)